Entry 1:
Diffraction record for Dy7Sc2In2. The X-ray diffraction stick pattern is simulated, not measured: it uses a crystal structure in Alexandria, relaxed with PBE and Cu Kα X-rays.
No peak broadening, texture or thermal motion is included.

The 6 most intense peaks (2θ from 10° to 90°), most intense first:
d/Å, Rel. int., (hkl)
2.922, 100, 1 1 2
2.656, 72, 1 4 1
2.635, 72, 1 3 2
2.693, 58, 0 0 4
2.535, 56, 0 6 2
3.284, 42, 0 5 1

Atomic structure:
Cell lengths 3.5518, 17.2383, 10.7735 Å; angles 90.00, 90.00, 90.00 degrees
Space group Imm2 (No. 44)
One atom of each set of equivalent atoms:
Dy (0.0000, 0.0000, 0.0000) (multiplicity 2)
Dy (0.0000, 0.1073, 0.4436) (multiplicity 4)
Dy (0.0000, 0.3248, 0.6838) (multiplicity 4)
Dy (0.0000, 0.3480, 0.2204) (multiplicity 4)
Sc (0.0000, 0.2298, 0.9490) (multiplicity 4)
In (0.0000, 0.0000, 0.6964) (multiplicity 2)
In (0.0000, 0.5000, 0.7491) (multiplicity 2)

Entry 2:
Diffraction record for Mg4MnCo. The X-ray diffraction stick pattern is simulated, not measured: it uses a crystal structure in Alexandria, relaxed with PBE and Cu Kα X-rays.
No peak broadening, texture or thermal motion is included.

The 6 most intense peaks (2θ from 10° to 90°), most intense first:
d/Å, Rel. int., (hkl)
2.322, 100, 3 1 1
2.723, 61, 2 2 0
1.482, 29, 5 1 1
1.361, 22, 4 4 0
1.572, 21, 4 2 2
2.223, 17, 2 2 2

Atomic structure:
Cell lengths 7.7015, 7.7015, 7.7015 Å; angles 90.00, 90.00, 90.00 degrees
Space group F-43m (No. 216)
One atom of each set of equivalent atoms:
Mg (0.1253, 0.1253, 0.1253) (multiplicity 16)
Mn (0.2500, 0.2500, 0.7500) (multiplicity 4)
Co (0.0000, 0.0000, 0.5000) (multiplicity 4)

Entry 3:
Diffraction record for Ti3MnTl. The X-ray diffraction stick pattern is simulated, not measured: it uses a crystal structure in Alexandria, relaxed with PBE and Cu Kα X-rays.
No peak broadening, texture or thermal motion is included.

The 6 most intense peaks (2θ from 10° to 90°), most intense first:
d/Å, Rel. int., (hkl)
2.294, 100, 3 1 1
2.875, 81, 1 1 -1
4.229, 80, 2 0 -2
2.072, 58, 3 1 -3
3.096, 53, 4 0 0
2.567, 53, 1 1 -2

Atomic structure:
Cell lengths 12.7628, 3.0574, 9.5343 Å; angles 90.00, 104.00, 90.00 degrees
Space group C2/m (No. 12)
One atom of each set of equivalent atoms:
Ti (0.0437, 0.0000, 0.3731) (multiplicity 4)
Ti (0.1333, 0.5000, 0.8336) (multiplicity 4)
Ti (0.2459, 0.5000, 0.3708) (multiplicity 4)
Mn (0.1017, 0.5000, 0.5873) (multiplicity 4)
Tl (0.1179, 0.0000, 0.1020) (multiplicity 4)

Entry 4:
Diffraction record for Al2Cu13. The X-ray diffraction stick pattern is simulated, not measured: it uses a crystal structure in Alexandria, relaxed with PBE and Cu Kα X-rays.
No peak broadening, texture or thermal motion is included.

The 6 most intense peaks (2θ from 10° to 90°), most intense first:
d/Å, Rel. int., (hkl)
2.110, 100, 2 2 1
1.867, 67, 0 3 2
2.122, 51, 1 1 3
2.106, 50, 1 -2 1
1.759, 28, 3 0 2
1.283, 18, 3 3 4

Atomic structure:
Cell lengths 5.5949, 5.8895, 6.3761 Å; angles 67.96, 70.89, 83.84 degrees
Space group P-1 (No. 2)
One atom of each set of equivalent atoms:
Al (0.1400, 0.4653, 0.2893) (multiplicity 2)
Cu (0.0000, 0.0000, 0.5000) (multiplicity 1)
Cu (0.0678, 0.7378, 0.8980) (multiplicity 2)
Cu (0.1981, 0.2012, 0.6985) (multiplicity 2)
Cu (0.2680, 0.9340, 0.0985) (multiplicity 2)
Cu (0.3318, 0.6662, 0.4999) (multiplicity 2)
Cu (0.3984, 0.3984, 0.8983) (multiplicity 2)
Cu (0.4678, 0.1301, 0.3011) (multiplicity 2)

Entry 5:
Diffraction record for Ag2H2Br5. The X-ray diffraction stick pattern is simulated, not measured: it uses a crystal structure in Alexandria, relaxed with PBE and Cu Kα X-rays.
No peak broadening, texture or thermal motion is included.

The 6 most intense peaks (2θ from 10° to 90°), most intense first:
d/Å, Rel. int., (hkl)
7.757, 100, 4 0 0
2.784, 74, 1 1 -2
3.444, 51, 5 1 0
3.103, 41, 10 0 0
2.171, 36, 11 1 -2
3.056, 33, 4 0 2

Atomic structure:
Cell lengths 31.9344, 4.1403, 7.5775 Å; angles 90.00, 103.68, 90.00 degrees
Space group Cc (No. 9)
One atom of each set of equivalent atoms:
Ag (0.0000, 0.0020, 0.0000) (multiplicity 4)
Ag (0.2500, 0.2501, 0.8620) (multiplicity 4)
H (0.1286, 0.1549, 0.0945) (multiplicity 4)
H (0.3714, 0.3477, 0.3379) (multiplicity 4)
Br (0.0000, 0.4646, 0.7521) (multiplicity 4)
Br (0.1005, 0.0677, 0.6584) (multiplicity 4)
Br (0.2000, 0.4979, 0.0618) (multiplicity 4)
Br (0.3000, 0.0068, 0.1631) (multiplicity 4)
Br (0.3996, 0.4297, 0.9576) (multiplicity 4)

Entry 6:
Diffraction record for CaCeAs2Pd2. The X-ray diffraction stick pattern is simulated, not measured: it uses a crystal structure in Alexandria, relaxed with PBE and Cu Kα X-rays.
No peak broadening, texture or thermal motion is included.

The 6 most intense peaks (2θ from 10° to 90°), most intense first:
d/Å, Rel. int., (hkl)
2.703, 100, 0 1 2
2.176, 60, 1 1 0
1.448, 30, 1 1 4
1.695, 24, 2 0 2
1.337, 21, 1 2 2
7.756, 16, 0 0 1

Atomic structure:
Cell lengths 4.3516, 4.3516, 7.7564 Å; angles 90.00, 90.00, 120.00 degrees
Space group P-3m1 (No. 164)
One atom of each set of equivalent atoms:
Ca (0.0000, 0.0000, 0.0000) (multiplicity 1)
Ce (0.0000, 0.0000, 0.5000) (multiplicity 1)
As (0.3333, 0.6667, 0.7312) (multiplicity 2)
Pd (0.3333, 0.6667, 0.2439) (multiplicity 2)